# 1
Diffraction record for LaSmIBr2N. The powder diffraction line list is theoretical, not measured: it uses a structure optimized by DFT (GGA-PBE) and Cu Ka.
Lines closer than 0.1° are merged.

Structural model:
abc: 18.0769 4.1157 11.8583
angles: 90.00 121.06 90.00
Space group C2/m (No. 12)
Unique sites:
La1 0.1306 0.0000 0.2771 x4
Sm1 0.0785 0.5000 0.9585 x4
I1 0.1550 0.5000 0.5175 x4
Br1 0.0507 0.0000 0.7606 x4
Br2 0.2138 0.0000 0.1065 x4
N1 0.0703 0.5000 0.1470 x4

Most intense lines, 10 to 80 degrees two-theta, by angle:
2theta	I (rel.)	hkl
10.18	95.8	2 0 -1
25.10	46.5	1 1 1
26.57	79.8	1 1 -2
30.32	100.0	1 1 2
30.56	57.3	4 0 -4
31.04	59.5	6 0 -1
33.09	45.9	5 1 -2
40.94	41.4	5 1 1
41.66	50.0	7 1 -3
44.00	40.9	0 2 0

---

# 2
Diffraction record for PrYNO. The powder diffraction line list is theoretical, not measured: it uses a structure optimized by DFT (GGA-PBE) and Cu Ka.
Lines closer than 0.1° are merged.

Structural model:
abc: 4.0930 7.0276 5.0893
angles: 90.00 90.00 90.00
Space group Pmc2_1 (No. 26)
Unique sites:
Pr1 0.0000 0.1639 0.0000 x2
Y1 0.5000 0.3284 0.5005 x2
N1 0.0000 0.1813 0.5005 x2
O1 0.5000 0.3499 0.9989 x2

Most intense lines, 10 to 80 degrees two-theta, by angle:
2theta	I (rel.)	hkl
25.18	48.6	1 1 0
25.35	23.6	0 2 0
30.79	100.0	1 1 1
30.93	48.8	0 2 1
35.27	39.2	0 0 2
43.83	20.9	1 1 2
44.26	20.2	2 0 0
44.57	39.1	1 3 0
58.07	34.4	1 3 2
60.56	22.8	1 1 3

---

Copy entry 2 word for word.
Diffraction record for PrYNO. The powder diffraction line list is theoretical, not measured: it uses a structure optimized by DFT (GGA-PBE) and Cu Ka.
Lines closer than 0.1° are merged.

Structural model:
abc: 4.0930 7.0276 5.0893
angles: 90.00 90.00 90.00
Space group Pmc2_1 (No. 26)
Unique sites:
Pr1 0.0000 0.1639 0.0000 x2
Y1 0.5000 0.3284 0.5005 x2
N1 0.0000 0.1813 0.5005 x2
O1 0.5000 0.3499 0.9989 x2

Most intense lines, 10 to 80 degrees two-theta, by angle:
2theta	I (rel.)	hkl
25.18	48.6	1 1 0
25.35	23.6	0 2 0
30.79	100.0	1 1 1
30.93	48.8	0 2 1
35.27	39.2	0 0 2
43.83	20.9	1 1 2
44.26	20.2	2 0 0
44.57	39.1	1 3 0
58.07	34.4	1 3 2
60.56	22.8	1 1 3